TiSiC7NCl3: theoretical XRD peak list (Cu Kα (λ = 1.5418 Å)), based on a crystal structure in the Materials Project, relaxed with PBE.
Peak positions follow from Bragg's law for the DFT cell and can differ from measured ones.

Cell lengths 7.853, 16.496, 10.117 Å; angles 90.00, 92.43, 90.00 degrees
Space group P2_1/c (No. 14)
Asymmetric unit:
Ti 0.033 0.042 0.176
Si 0.363 0.633 0.264
C 0.191 0.728 0.250
C 0.220 0.699 0.129
C 0.226 0.116 0.771
C 0.265 0.031 0.751
C 0.346 0.661 0.068
C 0.373 0.169 0.778
C 0.410 0.085 0.755
N 0.207 0.541 0.249
Cl 0.137 0.164 0.166
Cl 0.148 0.559 0.542
Cl 0.168 0.506 0.855

Peak list (6 most intense, 2θ = 10–90°, in order of falling intensity)
10.7°, I = 100, hkl 0 2 0
15.6°, I = 83, hkl 1 2 0
11.3°, I = 76, hkl 1 0 0
17.5°, I = 70, hkl 0 0 2
24.6°, I = 53, hkl 2 1 -1
13.9°, I = 45, hkl 0 2 1